(1)
ZnS: theoretical powder diffraction line list (Cu Kα, 1.54184 Å), based on a cell relaxed with PBE.

Atomic structure:
```
data_ZnS
_chemical_formula_sum 'Zn28 S28'
_space_group_name_H-M_alt 'P 3 m 1'
_space_group_IT_number 156
_space_group_name_Hall 'P 3 -2"'
_cell_length_a 3.8528
_cell_length_b 3.8528
_cell_length_c 88.2196
_cell_angle_alpha 90.00
_cell_angle_beta 90.00
_cell_angle_gamma 120.00
loop_
_atom_site_label
_atom_site_type_symbol
_atom_site_fract_x
_atom_site_fract_y
_atom_site_fract_z
Zn1 Zn 0.0000 0.0000 0.0000
Zn2 Zn 0.0000 0.0000 0.0714
Zn3 Zn 0.0000 0.0000 0.1429
Zn4 Zn 0.0000 0.0000 0.2143
Zn5 Zn 0.0000 0.0000 0.3571
Zn6 Zn 0.0000 0.0000 0.4286
Zn7 Zn 0.0000 0.0000 0.5714
Zn8 Zn 0.0000 0.0000 0.6429
Zn9 Zn 0.0000 0.0000 0.7857
Zn10 Zn 0.0000 0.0000 0.8572
Zn11 Zn 0.3333 0.6667 0.1072
Zn12 Zn 0.3333 0.6667 0.2500
Zn13 Zn 0.3333 0.6667 0.3214
Zn14 Zn 0.3333 0.6667 0.4643
Zn15 Zn 0.3333 0.6667 0.5357
Zn16 Zn 0.3333 0.6667 0.6786
Zn17 Zn 0.3333 0.6667 0.7500
Zn18 Zn 0.3333 0.6667 0.8928
Zn19 Zn 0.3333 0.6667 0.9643
Zn20 Zn 0.6667 0.3333 0.0357
Zn21 Zn 0.6667 0.3333 0.1786
Zn22 Zn 0.6667 0.3333 0.2857
Zn23 Zn 0.6667 0.3333 0.3928
Zn24 Zn 0.6667 0.3333 0.5000
Zn25 Zn 0.6667 0.3333 0.6071
Zn26 Zn 0.6667 0.3333 0.7143
Zn27 Zn 0.6667 0.3333 0.8214
Zn28 Zn 0.6667 0.3333 0.9286
S1 S 0.0000 0.0000 0.0268
S2 S 0.0000 0.0000 0.0982
S3 S 0.0000 0.0000 0.1696
S4 S 0.0000 0.0000 0.2411
S5 S 0.0000 0.0000 0.3839
S6 S 0.0000 0.0000 0.4553
S7 S 0.0000 0.0000 0.5982
S8 S 0.0000 0.0000 0.6696
S9 S 0.0000 0.0000 0.8124
S10 S 0.0000 0.0000 0.8839
S11 S 0.3333 0.6667 0.1340
S12 S 0.3333 0.6667 0.2767
S13 S 0.3333 0.6667 0.3482
S14 S 0.3333 0.6667 0.4910
S15 S 0.3333 0.6667 0.5625
S16 S 0.3333 0.6667 0.7053
S17 S 0.3333 0.6667 0.7768
S18 S 0.3333 0.6667 0.9196
S19 S 0.3333 0.6667 0.9911
S20 S 0.6667 0.3333 0.0625
S21 S 0.6667 0.3333 0.2054
S22 S 0.6667 0.3333 0.3125
S23 S 0.6667 0.3333 0.4197
S24 S 0.6667 0.3333 0.5268
S25 S 0.6667 0.3333 0.6339
S26 S 0.6667 0.3333 0.7411
S27 S 0.6667 0.3333 0.8482
S28 S 0.6667 0.3333 0.9554
```

Main lines, low angle first (15 to 90 degrees two-theta):
2θ 27.20, d = 3.278 Å, intensity 28, (1 0 5); 2θ 28.29, d = 3.155 Å, intensity 100, (0 0 28); 2θ 30.31, d = 2.949 Å, intensity 39, (1 0 14); 2θ 47.18, d = 1.926 Å, intensity 60, (1 1 0); 2θ 51.40, d = 1.778 Å, intensity 28, (0 1 42); 2θ 55.94, d = 1.644 Å, intensity 47, (1 1 28)

---

(2)
ZnS: theoretical powder diffraction line list (Cu Kα, 1.54184 Å), based on a cell relaxed with PBE.

Atomic structure:
```
data_ZnS
_chemical_formula_sum 'Zn26 S26'
_space_group_name_H-M_alt 'P 3 m 1'
_space_group_IT_number 156
_space_group_name_Hall 'P 3 -2"'
_cell_length_a 3.8530
_cell_length_b 3.8530
_cell_length_c 81.8669
_cell_angle_alpha 90.00
_cell_angle_beta 90.00
_cell_angle_gamma 120.00
loop_
_atom_site_label
_atom_site_type_symbol
_atom_site_fract_x
_atom_site_fract_y
_atom_site_fract_z
Zn1 Zn 0.0000 0.0000 0.0000
Zn2 Zn 0.0000 0.0000 0.0769
Zn3 Zn 0.0000 0.0000 0.2307
Zn4 Zn 0.0000 0.0000 0.3077
Zn5 Zn 0.0000 0.0000 0.4615
Zn6 Zn 0.0000 0.0000 0.5385
Zn7 Zn 0.0000 0.0000 0.6538
Zn8 Zn 0.0000 0.0000 0.7692
Zn9 Zn 0.0000 0.0000 0.8846
Zn10 Zn 0.3333 0.6667 0.0384
Zn11 Zn 0.3333 0.6667 0.1538
Zn12 Zn 0.3333 0.6667 0.2692
Zn13 Zn 0.3333 0.6667 0.3846
Zn14 Zn 0.3333 0.6667 0.5000
Zn15 Zn 0.3333 0.6667 0.6154
Zn16 Zn 0.3333 0.6667 0.7307
Zn17 Zn 0.3333 0.6667 0.8077
Zn18 Zn 0.3333 0.6667 0.9230
Zn19 Zn 0.6667 0.3333 0.1154
Zn20 Zn 0.6667 0.3333 0.1923
Zn21 Zn 0.6667 0.3333 0.3461
Zn22 Zn 0.6667 0.3333 0.4231
Zn23 Zn 0.6667 0.3333 0.5769
Zn24 Zn 0.6667 0.3333 0.6923
Zn25 Zn 0.6667 0.3333 0.8461
Zn26 Zn 0.6667 0.3333 0.9615
S1 S 0.0000 0.0000 0.0288
S2 S 0.0000 0.0000 0.1058
S3 S 0.0000 0.0000 0.2596
S4 S 0.0000 0.0000 0.3365
S5 S 0.0000 0.0000 0.4904
S6 S 0.0000 0.0000 0.5673
S7 S 0.0000 0.0000 0.6827
S8 S 0.0000 0.0000 0.7981
S9 S 0.0000 0.0000 0.9134
S10 S 0.3333 0.6667 0.0673
S11 S 0.3333 0.6667 0.1827
S12 S 0.3333 0.6667 0.2981
S13 S 0.3333 0.6667 0.4135
S14 S 0.3333 0.6667 0.5289
S15 S 0.3333 0.6667 0.6442
S16 S 0.3333 0.6667 0.7596
S17 S 0.3333 0.6667 0.8365
S18 S 0.3333 0.6667 0.9519
S19 S 0.6667 0.3333 0.1442
S20 S 0.6667 0.3333 0.2211
S21 S 0.6667 0.3333 0.3750
S22 S 0.6667 0.3333 0.4519
S23 S 0.6667 0.3333 0.6058
S24 S 0.6667 0.3333 0.7211
S25 S 0.6667 0.3333 0.8750
S26 S 0.6667 0.3333 0.9904
```

Main lines, low angle first (15 to 90 degrees two-theta):
2θ 28.13, d = 3.172 Å, intensity 43, (1 0 8); 2θ 28.34, d = 3.149 Å, intensity 82, (0 0 26); 2θ 28.49, d = 3.133 Å, intensity 95, (1 0 9); 2θ 47.18, d = 1.927 Å, intensity 100, (1 1 0); 2θ 47.47, d = 1.915 Å, intensity 40, (1 0 35); 2θ 55.97, d = 1.643 Å, intensity 80, (1 1 26)

---

Which formula does entry 2 have?
ZnS

---

What is the formula in the first record?
ZnS

---

Number 2 is which compound?
ZnS

---

Number 1 is which compound?
ZnS